# 1
Computed X-ray diffraction stick pattern
Compound: Hg
Radiation: Cu Kα (weighted mean of Kα1 and Kα2)
Structure: a structure optimized by DFT (GGA-PBE)
Intensities are scaled so that the largest is 100.

Largest 10 diffraction maxima, in order of rising 2θ, 2θ = 15–90°:
two_theta, I/Imax
28.12, 100
38.43, 45
41.89, 35
45.23, 9
51.22, 20
58.14, 14
63.34, 21
67.10, 9
68.24, 17
74.20, 13

Atomic structure:
```
data_Hg
_cell_length_a 3.1969
_cell_length_b 3.1969
_cell_length_c 3.1969
_cell_angle_alpha 84.84
_cell_angle_beta 84.84
_cell_angle_gamma 84.84
_symmetry_space_group_name_H-M 'P 1'
_symmetry_Int_Tables_number 1
loop_
_symmetry_equiv_pos_as_xyz
'x,y,z'
loop_
_atom_site_label
_atom_site_fract_x
_atom_site_fract_y
_atom_site_fract_z
Hg1 0.0000 0.0000 0.0000
```

---

# 2
Computed X-ray diffraction stick pattern
Compound: LaHg2
Radiation: Cu Kα (weighted mean of Kα1 and Kα2)
Structure: a structure optimized by DFT (GGA-PBE)
Intensities are scaled so that the largest is 100.

Largest 10 diffraction maxima, in order of rising 2θ, 2θ = 15–90°:
two_theta, I/Imax
24.77, 58
31.03, 13
32.14, 100
40.99, 95
57.29, 20
61.39, 22
63.36, 27
67.22, 12
72.83, 18
88.91, 13

Atomic structure:
```
data_LaHg2
_cell_length_a 5.5706
_cell_length_b 5.5706
_cell_length_c 3.5945
_cell_angle_alpha 90.00
_cell_angle_beta 90.00
_cell_angle_gamma 120.00
_symmetry_space_group_name_H-M 'P 1'
_symmetry_Int_Tables_number 1
loop_
_symmetry_equiv_pos_as_xyz
'x,y,z'
loop_
_atom_site_label
_atom_site_fract_x
_atom_site_fract_y
_atom_site_fract_z
La1 0.0000 0.0000 0.0000
Hg1 0.3333 0.6667 0.0551
Hg2 0.6667 0.3333 0.9449
```

---

# 3
Computed X-ray diffraction stick pattern
Compound: RbV5S8
Radiation: Cu Kα (weighted mean of Kα1 and Kα2)
Structure: a structure optimized by DFT (GGA-PBE)
Intensities are scaled so that the largest is 100.

Largest 10 diffraction maxima, in order of rising 2θ, 2θ = 15–90°:
two_theta, I/Imax
20.74, 45
21.46, 40
33.26, 50
34.45, 100
35.96, 58
42.50, 39
42.66, 78
48.61, 31
54.10, 57
55.85, 31

Atomic structure:
```
data_RbV5S8
_cell_length_a 9.0499
_cell_length_b 9.0499
_cell_length_c 8.5459
_cell_angle_alpha 104.09
_cell_angle_beta 104.09
_cell_angle_gamma 20.96
_symmetry_space_group_name_H-M 'P 1'
_symmetry_Int_Tables_number 1
loop_
_symmetry_equiv_pos_as_xyz
'x,y,z'
loop_
_atom_site_label
_atom_site_fract_x
_atom_site_fract_y
_atom_site_fract_z
Rb1 0.0000 0.0000 0.0000
V1 0.1490 0.1490 0.4979
V2 0.2109 0.2109 0.8558
V3 0.5000 0.5000 0.5000
V4 0.7891 0.7891 0.1442
V5 0.8510 0.8510 0.5021
S1 0.0740 0.0740 0.6769
S2 0.2608 0.2608 0.3401
S3 0.3375 0.3375 0.9996
S4 0.4133 0.4133 0.6776
S5 0.5867 0.5867 0.3224
S6 0.6625 0.6625 0.0004
S7 0.7392 0.7392 0.6599
S8 0.9260 0.9260 0.3231
```

---

# 4
Computed X-ray diffraction stick pattern
Compound: MgCu3Te2O10
Radiation: Cu Kα (weighted mean of Kα1 and Kα2)
Structure: a structure optimized by DFT (GGA-PBE)
Intensities are scaled so that the largest is 100.

Largest 10 diffraction maxima, in order of rising 2θ, 2θ = 15–90°:
two_theta, I/Imax
17.02, 100
17.99, 23
19.81, 20
23.75, 18
34.46, 26
35.23, 23
36.45, 34
43.18, 26
43.39, 22
56.35, 15

Atomic structure:
```
data_MgCu3Te2O10
_cell_length_a 5.3417
_cell_length_b 5.9691
_cell_length_c 7.6155
_cell_angle_alpha 104.99
_cell_angle_beta 101.16
_cell_angle_gamma 105.72
_symmetry_space_group_name_H-M 'P 1'
_symmetry_Int_Tables_number 1
loop_
_symmetry_equiv_pos_as_xyz
'x,y,z'
loop_
_atom_site_label
_atom_site_fract_x
_atom_site_fract_y
_atom_site_fract_z
Mg1 0.0000 0.0000 0.0000
Cu1 0.1960 0.3764 0.4094
Cu2 0.5000 0.0000 0.5000
Cu3 0.8040 0.6236 0.5906
Te1 0.3855 0.7962 0.7945
Te2 0.6145 0.2038 0.2055
O1 0.0377 0.6775 0.8379
O2 0.1775 0.8076 0.5576
O3 0.3004 0.0201 0.2654
O4 0.3739 0.1447 0.9554
O5 0.4330 0.4901 0.6679
O6 0.5670 0.5099 0.3321
O7 0.6261 0.8553 0.0446
O8 0.6996 0.9799 0.7346
O9 0.8225 0.1924 0.4424
O10 0.9623 0.3225 0.1621
```